1.
For HfTh2P3Rh12, DFT lattice parameters and positions (PBE) gives the computed XRD peak list in this record (Cu Kα).
No peak broadening, texture or thermal motion is included.

Most intense lines, 10° ≤ 2θ ≤ 90°, in order of rising 2θ:
d/Å	two_theta	I (rel.)
3.241	27.5	21
2.763	32.4	27
2.624	34.2	100
2.481	36.2	12
2.212	40.8	11
2.139	42.2	75
2.040	44.4	11
1.692	54.2	12
1.663	55.2	13
1.620	56.8	13
1.477	62.9	13
1.120	87.0	12

Crystal structure
```
data_HfTh2P3Rh12
_chemical_formula_sum 'Hf1 Th2 P3 Rh12'
_symmetry_space_group_name_H-M 'P 1'
_symmetry_Int_Tables_number 1
_cell_length_a 7.0028
_cell_length_b 7.0028
_cell_length_c 7.0028
_cell_angle_alpha 75.32
_cell_angle_beta 75.32
_cell_angle_gamma 75.32
loop_
_symmetry_equiv_pos_as_xyz
'x,y,z'
loop_
_atom_site_label
_atom_site_fract_x
_atom_site_fract_y
_atom_site_fract_z
_atom_site_occupancy
Hf1 0.0000 0.0000 0.0000 1
Th1 0.3907 0.3907 0.3907 1
Th2 0.6093 0.6093 0.6093 1
P1 0.0000 0.0000 0.5000 1
P2 0.0000 0.5000 0.0000 1
P3 0.5000 0.0000 0.0000 1
Rh1 0.0933 0.6732 0.6732 1
Rh2 0.1589 0.1589 0.6289 1
Rh3 0.1589 0.6289 0.1589 1
Rh4 0.3268 0.3268 0.9067 1
Rh5 0.3268 0.9067 0.3268 1
Rh6 0.3711 0.8411 0.8411 1
Rh7 0.6289 0.1589 0.1589 1
Rh8 0.6732 0.0933 0.6732 1
Rh9 0.6732 0.6732 0.0933 1
Rh10 0.8411 0.3711 0.8411 1
Rh11 0.8411 0.8411 0.3711 1
Rh12 0.9067 0.3268 0.3268 1
```

2.
For PmPr5Sn3, DFT lattice parameters and positions (PBE) gives the computed XRD peak list in this record (Cu Kα).
No peak broadening, texture or thermal motion is included.

Most intense lines, 10° ≤ 2θ ≤ 90°, in order of rising 2θ:
d/Å	two_theta	I (rel.)
2.804	31.9	100
2.790	32.1	90
2.166	41.7	8
1.978	45.9	34
1.704	53.8	8
1.619	56.9	20
1.616	57.0	35
1.456	63.9	28
1.402	66.7	12
1.253	76.0	15
1.174	82.1	14
1.144	84.8	6

Crystal structure
```
data_PmPr5Sn3
_chemical_formula_sum 'Pm2 Pr10 Sn6'
_symmetry_space_group_name_H-M 'P 1'
_symmetry_Int_Tables_number 1
_cell_length_a 9.7135
_cell_length_b 9.7135
_cell_length_c 6.8178
_cell_angle_alpha 90.00
_cell_angle_beta 90.00
_cell_angle_gamma 120.00
loop_
_symmetry_equiv_pos_as_xyz
'x,y,z'
loop_
_atom_site_label
_atom_site_fract_x
_atom_site_fract_y
_atom_site_fract_z
_atom_site_occupancy
Pm1 0.0000 0.0000 0.0000 1
Pm2 0.0000 0.0000 0.5000 1
Pr1 0.0000 0.3329 0.2500 1
Pr2 0.0000 0.6671 0.7500 1
Pr3 0.3329 0.0000 0.2500 1
Pr4 0.3329 0.3329 0.7500 1
Pr5 0.3333 0.6667 0.0000 1
Pr6 0.3333 0.6667 0.5000 1
Pr7 0.6671 0.0000 0.7500 1
Pr8 0.6667 0.3333 0.0000 1
Pr9 0.6667 0.3333 0.5000 1
Pr10 0.6671 0.6671 0.2500 1
Sn1 0.0000 0.3325 0.7500 1
Sn2 0.0000 0.6675 0.2500 1
Sn3 0.3325 0.0000 0.7500 1
Sn4 0.3325 0.3325 0.2500 1
Sn5 0.6675 0.0000 0.2500 1
Sn6 0.6675 0.6675 0.7500 1
```

3.
For SrBeIr2, DFT lattice parameters and positions (PBE) gives the computed XRD peak list in this record (Cu Kα).
No peak broadening, texture or thermal motion is included.

Most intense lines, 10° ≤ 2θ ≤ 90°, in order of rising 2θ:
d/Å	two_theta	I (rel.)
5.116	17.3	100
2.866	31.2	20
2.641	33.9	28
2.558	35.1	40
2.380	37.8	44
2.320	38.8	31
2.218	40.7	53
2.202	41.0	20
2.158	41.9	19
1.931	47.1	15
1.818	50.2	19
1.562	59.1	20

Crystal structure
```
data_SrBeIr2
_chemical_formula_sum 'Sr2 Be2 Ir4'
_symmetry_space_group_name_H-M 'P 1'
_symmetry_Int_Tables_number 1
_cell_length_a 10.0894
_cell_length_b 3.0136
_cell_length_c 5.5624
_cell_angle_alpha 90.00
_cell_angle_beta 113.12
_cell_angle_gamma 90.00
loop_
_symmetry_equiv_pos_as_xyz
'x,y,z'
loop_
_atom_site_label
_atom_site_fract_x
_atom_site_fract_y
_atom_site_fract_z
_atom_site_occupancy
Sr1 0.0000 0.0000 0.0000 1
Sr2 0.5000 0.5000 0.0000 1
Be1 0.3296 0.5000 0.3868 1
Be2 0.8296 0.0000 0.3868 1
Ir1 0.0110 0.5000 0.5200 1
Ir2 0.2345 0.0000 0.5649 1
Ir3 0.5110 0.0000 0.5200 1
Ir4 0.7345 0.5000 0.5649 1
```

4.
For CsMgCr2Br8, DFT lattice parameters and positions (PBE) gives the computed XRD peak list in this record (Cu Kα).
No peak broadening, texture or thermal motion is included.

Most intense lines, 10° ≤ 2θ ≤ 90°, in order of rising 2θ:
d/Å	two_theta	I (rel.)
4.656	19.1	26
3.278	27.2	100
3.260	27.4	38
2.835	31.6	62
2.787	32.1	9
2.009	45.1	38
2.000	45.3	27
1.711	53.6	45
1.705	53.8	9
1.639	56.1	11
1.303	72.5	12
1.270	74.8	9

Crystal structure
```
data_CsMgCr2Br8
_chemical_formula_sum 'Cs1 Mg1 Cr2 Br8'
_symmetry_space_group_name_H-M 'P 1'
_symmetry_Int_Tables_number 1
_cell_length_a 10.5721
_cell_length_b 10.5721
_cell_length_c 10.5721
_cell_angle_alpha 38.42
_cell_angle_beta 38.42
_cell_angle_gamma 38.42
loop_
_symmetry_equiv_pos_as_xyz
'x,y,z'
loop_
_atom_site_label
_atom_site_fract_x
_atom_site_fract_y
_atom_site_fract_z
_atom_site_occupancy
Cs1 0.0000 0.0000 0.0000 1
Mg1 0.5000 0.5000 0.5000 1
Cr1 0.2348 0.2348 0.2348 1
Cr2 0.7652 0.7652 0.7652 1
Br1 0.1355 0.4353 0.7677 1
Br2 0.2323 0.8645 0.5647 1
Br3 0.3157 0.3157 0.3157 1
Br4 0.4353 0.7677 0.1355 1
Br5 0.5647 0.2323 0.8645 1
Br6 0.6843 0.6843 0.6843 1
Br7 0.7677 0.1355 0.4353 1
Br8 0.8645 0.5647 0.2323 1
```